# FeBiO3
Computed XRD peak list, Cu Kα, 1.54184 Å. Input: a structure optimized by DFT (PBE+U).

Unit cell a=5.6334 b=5.6334 c=14.1068 alpha=90.00 beta=90.00 gamma=120.00
Space group R3c (No. 161, hexagonal axes)
Inequivalent atoms, fractional coordinates:
Fe 0.0000 0.0000 0.0000
Bi 0.0000 0.0000 0.2788
O 0.1003 0.3510 0.0657

Most intense lines, 10 to 90 degrees two-theta, low angle first:
(hkl)	2θ (°)	I (rel.)
0 1 2	22.15	79
1 0 4	31.30	100
1 1 0	31.77	98
2 0 2	39.07	30
0 2 4	45.20	46
1 1 6	50.57	34
1 2 2	51.21	19
0 1 8	55.40	18
2 1 4	56.30	42
3 0 0	56.60	24
2 2 0	66.38	15
1 3 4	75.21	17